The following is a calculated powder diffractogram of SmPaHg4. It was derived from a cell relaxed with GGA-PBE, using CuKα.
Peak positions follow from Bragg's law for the DFT cell and can differ from measured ones.

Largest 8 diffraction maxima, by angle, 10° ≤ 2θ ≤ 80°:
index  two_theta  I/Imax
2 2 0  29.97  24
3 1 1  35.30  100
2 2 2  36.93  43
4 2 2  53.22  10
5 1 1  56.73  35
4 4 0  62.28  31
5 3 3  73.67  12
6 2 2  74.66  17

Structure:
Unit cell a=8.432 b=8.432 c=8.432 alpha=90.00 beta=90.00 gamma=90.00
Space group F-43m (No. 216)
Inequivalent atoms, fractional coordinates:
Sm1 0.000 0.000 0.000 [4 per cell]
Pa1 0.250 0.250 0.250 [4 per cell]
Hg1 0.125 0.125 0.625 [16 per cell]

=====

The following is a calculated powder diffractogram of Pa2Sn3Hg3. It was derived from a cell relaxed with GGA-PBE, using CuKα.
Peak positions follow from Bragg's law for the DFT cell and can differ from measured ones.

Largest 8 diffraction maxima, by angle, 10° ≤ 2θ ≤ 80°:
index  two_theta  I/Imax
1 1 2  33.59  100
0 2 0  37.42  19
2 0 0  38.91  17
0 0 4  40.54  15
2 2 0  55.09  13
1 3 2  65.08  15
3 1 2  67.09  14
1 1 6  69.33  13

Structure:
Unit cell a=4.629 b=4.806 c=8.901 alpha=90.00 beta=90.00 gamma=90.00
Space group Pmmm (No. 47)
Inequivalent atoms, fractional coordinates:
Pa1 0.000 0.000 0.244 [2 per cell]
Sn1 0.000 0.500 0.000 [1 per cell]
Sn2 0.500 0.000 0.000 [1 per cell]
Sn3 0.500 0.000 0.500 [1 per cell]
Hg1 0.000 0.500 0.500 [1 per cell]
Hg2 0.500 0.500 0.253 [2 per cell]

=====

The following is a calculated powder diffractogram of PaVHg. It was derived from a cell relaxed with GGA-PBE, using CuKα.
Peak positions follow from Bragg's law for the DFT cell and can differ from measured ones.

Largest 8 diffraction maxima, by angle, 10° ≤ 2θ ≤ 80°:
index  two_theta  I/Imax
0 2 2  26.67  42
2 0 0  32.31  41
1 1 3  33.52  100
1 3 1  34.62  79
2 2 2  42.37  54
0 4 2  43.45  26
1 3 5  58.67  38
0 6 0  60.13  26

Structure:
Unit cell a=5.541 b=9.224 c=9.704 alpha=90.00 beta=90.00 gamma=90.00
Space group Fmmm (No. 69)
Inequivalent atoms, fractional coordinates:
Pa1 0.000 0.000 0.189 [8 per cell]
V1 0.250 0.250 0.250 [8 per cell]
Hg1 0.000 0.166 0.500 [8 per cell]

=====

The following is a calculated powder diffractogram of Pa2Zn15Hg2. It was derived from a cell relaxed with GGA-PBE, using CuKα.
Peak positions follow from Bragg's law for the DFT cell and can differ from measured ones.

Largest 8 diffraction maxima, by angle, 10° ≤ 2θ ≤ 80°:
index  two_theta  I/Imax
1 1 0  19.43  63
1 0 4  29.08  46
3 0 0  33.99  95
0 2 4  35.22  63
2 2 0  39.45  100
0 3 3  39.75  88
0 0 6  40.56  84
0 3 9  73.32  34

Structure:
Unit cell a=9.1365 b=9.1365 c=13.3260 alpha=90.00 beta=90.00 gamma=120.00
Space group R-3m (No. 166, hexagonal axes)
Inequivalent atoms, fractional coordinates:
Pa1 0.0000 0.0000 0.1558 [6 per cell]
Zn1 0.0000 0.3057 0.5000 [18 per cell]
Zn2 0.0000 0.5000 0.0000 [9 per cell]
Zn3 0.0160 0.5080 0.6523 [18 per cell]
Hg1 0.0000 0.0000 0.3918 [6 per cell]

=====

The following is a calculated powder diffractogram of HgPb5. It was derived from a cell relaxed with GGA-PBE, using CuKα.
Peak positions follow from Bragg's law for the DFT cell and can differ from measured ones.

Largest 8 diffraction maxima, by angle, 10° ≤ 2θ ≤ 80°:
index  two_theta  I/Imax
1 3 1  31.25  100
0 0 2  35.95  17
2 0 0  36.09  17
0 6 0  36.68  16
1 3 3  61.71  15
3 3 1  61.90  15
1 9 1  62.69  14
2 6 2  65.19  13

Structure:
Unit cell a=4.977 b=14.701 c=4.996 alpha=90.00 beta=90.00 gamma=90.00
Space group Cmmm (No. 65)
Inequivalent atoms, fractional coordinates:
Hg1 0.000 0.000 0.000 [2 per cell]
Pb1 0.000 0.162 0.500 [4 per cell]
Pb2 0.000 0.334 0.000 [4 per cell]
Pb3 0.000 0.500 0.500 [2 per cell]

=====

The following is a calculated powder diffractogram of Hg2Pb. It was derived from a cell relaxed with GGA-PBE, using CuKα.
Peak positions follow from Bragg's law for the DFT cell and can differ from measured ones.

Largest 8 diffraction maxima, by angle, 10° ≤ 2θ ≤ 80°:
index  two_theta  I/Imax
1 0 1  30.79  100
1 1 0  36.18  66
0 2 1  48.23  30
0 1 2  51.03  24
2 1 1  61.75  29
2 0 2  64.15  12
3 0 0  65.07  12
1 2 2  75.92  15

Structure:
Unit cell a=4.9653 b=4.9653 c=3.9366 alpha=90.00 beta=90.00 gamma=120.00
Space group P-3m1 (No. 164)
Inequivalent atoms, fractional coordinates:
Hg1 0.3333 0.6667 0.1405 [2 per cell]
Pb1 0.0000 0.0000 0.5000 [1 per cell]

=====

The following is a calculated powder diffractogram of HgPb5. It was derived from a cell relaxed with GGA-PBE, using CuKα.
Peak positions follow from Bragg's law for the DFT cell and can differ from measured ones.

Largest 8 diffraction maxima, by angle, 10° ≤ 2θ ≤ 80°:
index  two_theta  I/Imax
0 0 2  29.75  30
1 1 0  30.03  22
1 1 1  33.61  100
1 1 2  42.78  17
3 0 0  53.32  18
1 1 3  55.31  25
3 0 2  62.25  23
2 2 1  64.52  16

Structure:
Unit cell a=5.9520 b=5.9520 c=6.0056 alpha=90.00 beta=90.00 gamma=120.00
Space group P-62m (No. 189)
Inequivalent atoms, fractional coordinates:
Hg1 0.0000 0.0000 0.0000 [1 per cell]
Pb1 0.0000 0.6641 0.5000 [3 per cell]
Pb2 0.3333 0.6667 0.0000 [2 per cell]

=====

The following is a calculated powder diffractogram of Hg6Pb. It was derived from a cell relaxed with GGA-PBE, using CuKα.
Peak positions follow from Bragg's law for the DFT cell and can differ from measured ones.

Largest 8 diffraction maxima, by angle, 10° ≤ 2θ ≤ 80°:
index  two_theta  I/Imax
2 0 0  33.04  56
1 1 2  34.58  100
2 2 0  47.43  21
3 1 2  60.01  42
2 0 4  62.92  18
2 2 4  72.93  12
4 2 0  78.97  10
3 3 2  79.84  10

Structure:
Unit cell a=5.422 b=5.422 c=7.046 alpha=90.00 beta=90.00 gamma=90.00
Space group P4/mmm (No. 123)
Inequivalent atoms, fractional coordinates:
Hg1 0.000 0.000 0.000 [1 per cell]
Hg2 0.000 0.500 0.254 [4 per cell]
Hg3 0.500 0.500 0.000 [1 per cell]
Pb1 0.000 0.000 0.500 [1 per cell]

=====

The following is a calculated powder diffractogram of Hg8Pb3. It was derived from a cell relaxed with GGA-PBE, using CuKα.
Peak positions follow from Bragg's law for the DFT cell and can differ from measured ones.

Largest 8 diffraction maxima, by angle, 10° ≤ 2θ ≤ 80°:
index  two_theta  I/Imax
1 0 2  29.62  33
1 1 2  30.97  28
0 3 -1  31.94  100
0 2 3  32.24  99
1 1 -2  35.44  55
0 1 -4  35.94  69
-1 2 1  36.16  28
0 5 2  54.62  43

Structure:
Unit cell a=3.361 b=8.795 c=10.631 alpha=88.19 beta=81.53 gamma=88.30
Space group P-1 (No. 2)
Inequivalent atoms, fractional coordinates:
Hg1 0.041 0.141 0.408 [2 per cell]
Hg2 0.160 0.668 0.073 [2 per cell]
Hg3 0.398 0.590 0.771 [2 per cell]
Hg4 0.430 0.222 0.670 [2 per cell]
Pb1 0.000 0.500 0.500 [1 per cell]
Pb2 0.321 0.940 0.865 [2 per cell]

=====

The following is a calculated powder diffractogram of Hg3Pb. It was derived from a cell relaxed with GGA-PBE, using CuKα.
Peak positions follow from Bragg's law for the DFT cell and can differ from measured ones.

Largest 8 diffraction maxima, by angle, 10° ≤ 2θ ≤ 80°:
index  two_theta  I/Imax
0 2 0  31.46  30
0 0 4  33.63  25
1 1 2  33.79  100
0 2 4  46.71  20
1 3 2  57.51  22
1 1 6  60.24  19
2 2 0  60.55  10
2 2 4  71.08  12

Structure:
Unit cell a=3.627 b=5.688 c=10.660 alpha=90.00 beta=90.00 gamma=90.00
Space group Immm (No. 71)
Inequivalent atoms, fractional coordinates:
Hg1 0.000 0.000 0.000 [2 per cell]
Hg2 0.000 0.500 0.256 [4 per cell]
Pb1 0.000 0.000 0.500 [2 per cell]

=====

The following is a calculated powder diffractogram of Hg3Pb8. It was derived from a cell relaxed with GGA-PBE, using CuKα.
Peak positions follow from Bragg's law for the DFT cell and can differ from measured ones.

Largest 8 diffraction maxima, by angle, 10° ≤ 2θ ≤ 80°:
index  two_theta  I/Imax
2 1 1  27.97  100
2 -1 3  28.15  22
1 2 2  30.76  63
1 0 4  31.02  55
1 3 1  37.82  20
4 -2 3  42.12  68
4 1 0  47.66  18
2 2 6  58.22  22

Structure:
Unit cell a=10.0974 b=10.0974 c=12.2156 alpha=90.00 beta=90.00 gamma=120.00
Space group R-3 (No. 148, hexagonal axes)
Inequivalent atoms, fractional coordinates:
Hg1 0.0000 0.5000 0.0000 [9 per cell]
Pb1 0.0000 0.0000 0.3631 [6 per cell]
Pb2 0.0010 0.8042 0.8895 [18 per cell]

=====

The following is a calculated powder diffractogram of Hg4Pb3. It was derived from a cell relaxed with GGA-PBE, using CuKα.
Peak positions follow from Bragg's law for the DFT cell and can differ from measured ones.

Largest 8 diffraction maxima, by angle, 10° ≤ 2θ ≤ 80°:
index  two_theta  I/Imax
1 1 0  32.51  56
1 0 7  33.40  100
2 0 0  46.64  21
2 1 7  58.58  41
1 1 14  60.27  17
2 0 14  70.17  11
3 1 0  77.50  10
3 0 7  78.00  9

Structure:
Unit cell a=3.895 b=3.895 c=25.898 alpha=90.00 beta=90.00 gamma=90.00
Space group I4/mmm (No. 139)
Inequivalent atoms, fractional coordinates:
Hg1 0.000 0.000 0.073 [4 per cell]
Hg2 0.000 0.000 0.363 [4 per cell]
Pb1 0.000 0.000 0.209 [4 per cell]
Pb2 0.000 0.000 0.500 [2 per cell]